SrHg12: computed powder diffraction line list (Cu Ka), based on a cell relaxed with PBE.
Neutral-atom scattering factors, no anomalous dispersion.

Atomic structure:
Cell: 9.047 9.047 9.047 Å, 60.00 60.00 60.00°
Fractional positions:
Sr 0.000 0.000 0.000
Hg 0.160 0.500 0.500
Hg 0.160 0.500 0.840
Hg 0.160 0.840 0.500
Hg 0.500 0.160 0.500
Hg 0.500 0.160 0.840
Hg 0.500 0.500 0.160
Hg 0.500 0.500 0.840
Hg 0.500 0.840 0.160
Hg 0.500 0.840 0.500
Hg 0.840 0.160 0.500
Hg 0.840 0.500 0.160
Hg 0.840 0.500 0.500

Largest 6 diffraction maxima, most intense first, 5° ≤ 2θ ≤ 70°:
d (Å), Rel. int.
2.462, 100
3.858, 69
2.132, 60
7.387, 46
1.508, 41
2.163, 34

=====

TbHo4Ni2: computed powder diffraction line list (Cu Ka), based on a cell relaxed with PBE.
Neutral-atom scattering factors, no anomalous dispersion.

Atomic structure:
Cell: 7.479 6.367 7.873 Å, 90.00 112.39 90.00°
Fractional positions:
Tb 0.149 0.250 0.026
Tb 0.851 0.750 0.974
Ho 0.027 0.250 0.387
Ho 0.252 0.750 0.345
Ho 0.408 0.004 0.768
Ho 0.408 0.496 0.768
Ho 0.592 0.504 0.232
Ho 0.592 0.996 0.232
Ho 0.748 0.250 0.655
Ho 0.973 0.750 0.613
Ni 0.258 0.750 0.994
Ni 0.382 0.250 0.413
Ni 0.618 0.750 0.587
Ni 0.742 0.250 0.006

Largest 6 diffraction maxima, most intense first, 5° ≤ 2θ ≤ 70°:
d (Å), Rel. int.
2.848, 100
2.892, 61
2.396, 45
2.810, 42
2.487, 37
2.623, 34

=====

NpGe6: computed powder diffraction line list (Cu Ka), based on a cell relaxed with PBE.
Neutral-atom scattering factors, no anomalous dispersion.

Atomic structure:
Cell: 7.060 7.060 7.060 Å, 90.00 90.00 90.00°
Fractional positions:
Np 0.000 0.000 0.000
Np 0.500 0.500 0.500
Ge 0.000 0.250 0.500
Ge 0.000 0.500 0.250
Ge 0.000 0.500 0.750
Ge 0.000 0.750 0.500
Ge 0.250 0.000 0.500
Ge 0.250 0.500 0.000
Ge 0.500 0.000 0.250
Ge 0.500 0.000 0.750
Ge 0.500 0.250 0.000
Ge 0.500 0.750 0.000
Ge 0.750 0.000 0.500
Ge 0.750 0.500 0.000

Largest 6 diffraction maxima, most intense first, 5° ≤ 2θ ≤ 70°:
d (Å), Rel. int.
2.882, 100
1.887, 60
3.530, 42
1.765, 19
1.579, 17
1.505, 14

=====

CaSn4Te6: computed powder diffraction line list (Cu Ka), based on a cell relaxed with PBE.
Neutral-atom scattering factors, no anomalous dispersion.

Atomic structure:
Cell: 6.286 6.290 9.930 Å, 71.55 89.58 88.79°
Fractional positions:
Ca 0.000 0.000 0.000
Sn 0.471 0.181 0.670
Sn 0.471 0.851 0.329
Sn 0.955 0.350 0.311
Sn 0.955 0.661 0.689
Te 0.061 0.497 0.000
Te 0.460 0.347 0.337
Te 0.460 0.684 0.663
Te 0.502 0.991 0.000
Te 0.972 0.179 0.663
Te 0.972 0.842 0.337

Largest 6 diffraction maxima, most intense first, 5° ≤ 2θ ≤ 70°:
d (Å), Rel. int.
3.142, 100
2.222, 48
1.405, 14
1.827, 13
2.246, 13
1.571, 11

=====

SmZn2GaPd2: computed powder diffraction line list (Cu Ka), based on a cell relaxed with PBE.
Neutral-atom scattering factors, no anomalous dispersion.

Atomic structure:
Cell: 4.669 4.669 5.626 Å, 90.00 90.00 90.00°
Fractional positions:
Sm 0.000 0.000 0.000
Zn 0.500 0.500 0.238
Zn 0.500 0.500 0.762
Ga 0.000 0.000 0.500
Pd 0.000 0.500 0.500
Pd 0.500 0.000 0.500

Largest 6 diffraction maxima, most intense first, 5° ≤ 2θ ≤ 70°:
d (Å), Rel. int.
2.334, 100
2.847, 95
2.409, 86
1.677, 55
1.651, 34
5.626, 25

=====

Tm4MgAg3: computed powder diffraction line list (Cu Ka), based on a cell relaxed with PBE.
Neutral-atom scattering factors, no anomalous dispersion.

Atomic structure:
Cell: 3.629 5.119 10.227 Å, 90.00 90.00 90.00°
Fractional positions:
Tm 0.000 0.000 0.000
Tm 0.000 0.000 0.500
Tm 0.000 0.500 0.241
Tm 0.000 0.500 0.759
Mg 0.500 0.500 0.500
Ag 0.500 0.000 0.259
Ag 0.500 0.000 0.741
Ag 0.500 0.500 0.000

Largest 6 diffraction maxima, most intense first, 5° ≤ 2θ ≤ 70°:
d (Å), Rel. int.
2.561, 100
1.479, 24
1.809, 12
1.477, 11
3.622, 11
1.815, 6

=====

SrNbO3: computed powder diffraction line list (Cu Ka), based on a cell relaxed with PBE.
Neutral-atom scattering factors, no anomalous dispersion.

Atomic structure:
Cell: 3.679 3.679 12.957 Å, 90.00 90.00 120.00°
Fractional positions:
Sr 0.000 0.000 0.000
Sr 0.000 0.000 0.500
Nb 0.333 0.667 0.250
Nb 0.667 0.333 0.750
O 0.000 0.000 0.250
O 0.000 0.000 0.750
O 0.333 0.667 0.100
O 0.333 0.667 0.400
O 0.667 0.333 0.600
O 0.667 0.333 0.900

Largest 6 diffraction maxima, most intense first, 5° ≤ 2θ ≤ 70°:
d (Å), Rel. int.
2.859, 100
3.094, 97
1.600, 55
1.839, 54
3.239, 54
1.788, 34

=====

K3TaI8: computed powder diffraction line list (Cu Ka), based on a cell relaxed with PBE.
Neutral-atom scattering factors, no anomalous dispersion.

Atomic structure:
Cell: 10.705 10.705 10.982 Å, 90.00 90.00 120.00°
Fractional positions:
K 0.150 0.301 0.000
K 0.150 0.850 0.000
K 0.301 0.150 0.500
K 0.699 0.850 0.000
K 0.850 0.150 0.500
K 0.850 0.699 0.500
Ta 0.333 0.667 0.461
Ta 0.667 0.333 0.961
I 0.000 0.000 0.295
I 0.000 0.000 0.795
I 0.090 0.545 0.324
I 0.211 0.423 0.617
I 0.211 0.789 0.617
I 0.333 0.667 0.991
I 0.423 0.211 0.117
I 0.455 0.545 0.324
I 0.455 0.910 0.324
I 0.545 0.090 0.824
I 0.545 0.455 0.824
I 0.577 0.789 0.617
I 0.667 0.333 0.491
I 0.789 0.211 0.117
I 0.789 0.577 0.117
I 0.910 0.455 0.824

Largest 6 diffraction maxima, most intense first, 5° ≤ 2θ ≤ 70°:
d (Å), Rel. int.
3.542, 100
7.084, 59
2.975, 43
9.271, 36
2.954, 35
5.353, 33